# BaSO3
Calculated powder XRD pattern, copper Kα. Input: a cell relaxed with GGA-PBE.
Lines closer than 0.1° are merged.

The 10 most intense peaks (2θ from 10° to 90°), in order of falling intensity:
| 2θ (°) | intensity | h k l |
| --- | --- | --- |
| 26.01 | 100 | 1 1 -1 |
| 25.39 | 85 | 1 1 0 |
| 27.41 | 80 | 0 0 2 |
| 20.99 | 65 | 0 1 1 |
| 33.08 | 44 | 1 1 -2 |
| 42.51 | 42 | 1 2 1 |
| 32.12 | 41 | 0 2 0 |
| 44.81 | 38 | 0 1 3 |
| 38.23 | 38 | 2 0 -1 |
| 62.23 | 27 | 1 2 3 |

Cell and atoms:
```
data_BaSO3
_symmetry_space_group_name_H-M 'P 1 21/m 1'
_symmetry_Int_Tables_number 11
_symmetry_space_group_name_Hall '-P 2yb'
_cell_length_a 4.7167
_cell_length_b 5.5726
_cell_length_c 6.7978
_cell_angle_alpha 90.00
_cell_angle_beta 106.79
_cell_angle_gamma 90.00
loop_
_atom_site_label
_atom_site_type_symbol
_atom_site_fract_x
_atom_site_fract_y
_atom_site_fract_z
Ba1 Ba 0.1554 0.2500 0.2739
S1 S 0.4265 0.2500 0.8238
O1 O 0.2313 0.7500 0.1291
O2 O 0.3232 0.0307 0.6811
```

# BaSO4
Calculated powder XRD pattern, copper Kα. Input: a cell relaxed with GGA-PBE.
Lines closer than 0.1° are merged.

The 10 most intense peaks (2θ from 10° to 90°), in order of falling intensity:
| 2θ (°) | intensity | h k l |
| --- | --- | --- |
| 28.29 | 100 | 2 1 1 |
| 25.44 | 92 | 2 1 0 |
| 26.41 | 66 | 1 0 2 |
| 32.22 | 57 | 0 2 0 |
| 42.13 | 53 | 1 2 2 |
| 31.01 | 51 | 1 1 2 |
| 22.41 | 50 | 1 1 1 |
| 41.85 | 49 | 1 1 3 |
| 42.26 | 44 | 3 1 2 |
| 41.95 | 37 | 4 0 1 |

Cell and atoms:
```
data_BaSO4
_symmetry_space_group_name_H-M 'P n m a'
_symmetry_Int_Tables_number 62
_symmetry_space_group_name_Hall '-P 2ac 2n'
_cell_length_a 9.0183
_cell_length_b 5.5570
_cell_length_c 7.2771
_cell_angle_alpha 90.00
_cell_angle_beta 90.00
_cell_angle_gamma 90.00
loop_
_atom_site_label
_atom_site_type_symbol
_atom_site_fract_x
_atom_site_fract_y
_atom_site_fract_z
Ba1 Ba 0.1857 0.2500 0.1566
S1 S 0.0617 0.2500 0.6904
O1 O 0.0800 0.0313 0.8103
O2 O 0.0883 0.7500 0.3910
O3 O 0.1811 0.2500 0.5490
```